# 1
Structure and calculated PXRD pattern of HgTe4Pd2 (the GGA-PBE geometry in Alexandria; λ = 1.5418 Å (Cu Kα)).

Largest 6 diffraction maxima, in order of rising 2θ, 10° ≤ 2θ ≤ 90°:
| 2θ/deg | d/Å | Rel. int. |
| --- | --- | --- |
| 13.1 | 6.735 | 338 |
| 30.5 | 2.927 | 498 |
| 30.7 | 2.908 | 1000 |
| 43.9 | 2.062 | 855 |
| 54.5 | 1.683 | 335 |
| 72.6 | 1.302 | 182 |

```
data_HgTe4Pd2
_cell_length_a 8.252
_cell_length_b 8.252
_cell_length_c 8.252
_cell_angle_alpha 120.29
_cell_angle_beta 120.14
_cell_angle_gamma 89.63
_symmetry_space_group_name_H-M 'P 1'
_symmetry_Int_Tables_number 1
loop_
_symmetry_equiv_pos_as_xyz
'x,y,z'
loop_
_atom_site_label
_atom_site_fract_x
_atom_site_fract_y
_atom_site_fract_z
_atom_site_occupancy
Hg1 0.000 0.000 0.000 1
Hg2 0.500 0.000 0.500 1
Te1 0.265 0.735 0.531 1
Te2 0.268 0.297 0.529 1
Te3 0.268 0.739 0.971 1
Te4 0.296 0.265 0.031 1
Te5 0.704 0.735 0.969 1
Te6 0.732 0.261 0.029 1
Te7 0.732 0.703 0.471 1
Te8 0.735 0.265 0.469 1
Pd1 0.000 0.500 0.500 1
Pd2 0.500 0.000 0.000 1
Pd3 0.500 0.500 0.000 1
Pd4 0.500 0.500 0.500 1
```

=====

# 2
Structure and calculated PXRD pattern of HgTe2Pd2 (the GGA-PBE geometry in Alexandria; λ = 1.5418 Å (Cu Kα)).

Largest 6 diffraction maxima, in order of rising 2θ, 10° ≤ 2θ ≤ 90°:
| 2θ/deg | d/Å | Rel. int. |
| --- | --- | --- |
| 29.7 | 3.005 | 1000 |
| 30.1 | 2.970 | 594 |
| 40.5 | 2.225 | 264 |
| 40.7 | 2.218 | 397 |
| 44.5 | 2.037 | 525 |
| 44.9 | 2.021 | 268 |

```
data_HgTe2Pd2
_cell_length_a 7.019
_cell_length_b 7.019
_cell_length_c 6.933
_cell_angle_alpha 119.52
_cell_angle_beta 119.52
_cell_angle_gamma 60.53
_symmetry_space_group_name_H-M 'P 1'
_symmetry_Int_Tables_number 1
loop_
_symmetry_equiv_pos_as_xyz
'x,y,z'
loop_
_atom_site_label
_atom_site_fract_x
_atom_site_fract_y
_atom_site_fract_z
_atom_site_occupancy
Hg1 0.053 0.947 0.500 1
Hg2 0.947 0.053 0.000 1
Te1 0.235 0.394 0.957 1
Te2 0.394 0.235 0.457 1
Te3 0.574 0.764 0.986 1
Te4 0.764 0.574 0.486 1
Pd1 0.188 0.645 0.736 1
Pd2 0.502 0.976 0.708 1
Pd3 0.645 0.188 0.236 1
Pd4 0.976 0.502 0.208 1
```

=====

# 3
Structure and calculated PXRD pattern of HgTe3Pd2 (the GGA-PBE geometry in Alexandria; λ = 1.5418 Å (Cu Kα)).

Largest 6 diffraction maxima, in order of rising 2θ, 10° ≤ 2θ ≤ 90°:
| 2θ/deg | d/Å | Rel. int. |
| --- | --- | --- |
| 14.9 | 5.929 | 463 |
| 26.9 | 3.319 | 746 |
| 28.0 | 3.188 | 577 |
| 35.3 | 2.546 | 1000 |
| 44.5 | 2.034 | 422 |
| 44.8 | 2.025 | 566 |

```
data_HgTe3Pd2
_cell_length_a 8.112
_cell_length_b 8.112
_cell_length_c 6.510
_cell_angle_alpha 110.88
_cell_angle_beta 110.88
_cell_angle_gamma 60.67
_symmetry_space_group_name_H-M 'P 1'
_symmetry_Int_Tables_number 1
loop_
_symmetry_equiv_pos_as_xyz
'x,y,z'
loop_
_atom_site_label
_atom_site_fract_x
_atom_site_fract_y
_atom_site_fract_z
_atom_site_occupancy
Hg1 0.224 0.224 0.286 1
Hg2 0.776 0.776 0.714 1
Te1 0.205 0.714 0.221 1
Te2 0.286 0.795 0.779 1
Te3 0.289 0.289 0.779 1
Te4 0.711 0.711 0.221 1
Te5 0.714 0.205 0.221 1
Te6 0.795 0.286 0.779 1
Pd1 0.000 0.000 0.000 1
Pd2 0.000 0.500 0.000 1
Pd3 0.500 0.000 0.000 1
Pd4 0.500 0.500 0.000 1
```

=====

# 4
Structure and calculated PXRD pattern of ThHgPd3 (the GGA-PBE geometry in Alexandria; λ = 1.5418 Å (Cu Kα)).

Largest 6 diffraction maxima, in order of rising 2θ, 10° ≤ 2θ ≤ 90°:
| 2θ/deg | d/Å | Rel. int. |
| --- | --- | --- |
| 25.8 | 3.455 | 1000 |
| 30.8 | 2.906 | 447 |
| 33.3 | 2.687 | 704 |
| 37.4 | 2.403 | 657 |
| 45.5 | 1.995 | 449 |
| 46.0 | 1.973 | 766 |

```
data_ThHgPd3
_cell_length_a 6.693
_cell_length_b 6.693
_cell_length_c 6.693
_cell_angle_alpha 62.16
_cell_angle_beta 62.16
_cell_angle_gamma 62.16
_symmetry_space_group_name_H-M 'P 1'
_symmetry_Int_Tables_number 1
loop_
_symmetry_equiv_pos_as_xyz
'x,y,z'
loop_
_atom_site_label
_atom_site_fract_x
_atom_site_fract_y
_atom_site_fract_z
_atom_site_occupancy
Th1 0.000 0.000 0.000 1
Th2 0.500 0.500 0.500 1
Hg1 0.304 0.304 0.304 1
Hg2 0.804 0.804 0.804 1
Pd1 0.154 0.933 0.405 1
Pd2 0.405 0.154 0.933 1
Pd3 0.433 0.654 0.905 1
Pd4 0.654 0.905 0.433 1
Pd5 0.905 0.433 0.654 1
Pd6 0.933 0.405 0.154 1
```

=====

# 5
Structure and calculated PXRD pattern of Th2HgPd8 (the GGA-PBE geometry in Alexandria; λ = 1.5418 Å (Cu Kα)).

Largest 6 diffraction maxima, in order of rising 2θ, 10° ≤ 2θ ≤ 90°:
| 2θ/deg | d/Å | Rel. int. |
| --- | --- | --- |
| 23.6 | 3.778 | 178 |
| 36.9 | 2.438 | 329 |
| 37.2 | 2.419 | 248 |
| 39.7 | 2.269 | 1000 |
| 53.4 | 1.717 | 175 |
| 68.3 | 1.373 | 201 |

```
data_Th2HgPd8
_cell_length_a 8.231
_cell_length_b 8.231
_cell_length_c 8.231
_cell_angle_alpha 145.54
_cell_angle_beta 136.89
_cell_angle_gamma 56.32
_symmetry_space_group_name_H-M 'P 1'
_symmetry_Int_Tables_number 1
loop_
_symmetry_equiv_pos_as_xyz
'x,y,z'
loop_
_atom_site_label
_atom_site_fract_x
_atom_site_fract_y
_atom_site_fract_z
_atom_site_occupancy
Th1 0.179 0.179 0.000 1
Th2 0.821 0.821 0.000 1
Hg1 0.500 0.500 0.000 1
Pd1 0.093 0.353 0.740 1
Pd2 0.249 0.000 0.249 1
Pd3 0.320 0.820 0.500 1
Pd4 0.386 0.647 0.740 1
Pd5 0.614 0.353 0.260 1
Pd6 0.680 0.180 0.500 1
Pd7 0.751 0.000 0.751 1
Pd8 0.907 0.647 0.260 1
```

=====

# 6
Structure and calculated PXRD pattern of Th2Hg2Pd5 (the GGA-PBE geometry in Alexandria; λ = 1.5418 Å (Cu Kα)).

Largest 6 diffraction maxima, in order of rising 2θ, 10° ≤ 2θ ≤ 90°:
| 2θ/deg | d/Å | Rel. int. |
| --- | --- | --- |
| 27.8 | 3.210 | 231 |
| 29.0 | 3.078 | 1000 |
| 34.9 | 2.572 | 263 |
| 37.4 | 2.404 | 275 |
| 40.2 | 2.241 | 488 |
| 41.2 | 2.190 | 301 |

```
data_Th2Hg2Pd5
_cell_length_a 9.271
_cell_length_b 9.271
_cell_length_c 9.271
_cell_angle_alpha 66.38
_cell_angle_beta 132.49
_cell_angle_gamma 136.49
_symmetry_space_group_name_H-M 'P 1'
_symmetry_Int_Tables_number 1
loop_
_symmetry_equiv_pos_as_xyz
'x,y,z'
loop_
_atom_site_label
_atom_site_fract_x
_atom_site_fract_y
_atom_site_fract_z
_atom_site_occupancy
Th1 0.071 0.118 0.189 1
Th2 0.071 0.382 0.453 1
Th3 0.929 0.618 0.547 1
Th4 0.929 0.882 0.811 1
Hg1 0.329 0.610 0.219 1
Hg2 0.392 0.110 0.781 1
Hg3 0.612 0.112 0.500 1
Hg4 0.612 0.612 0.000 1
Pd1 0.098 0.286 0.832 1
Pd2 0.098 0.766 0.312 1
Pd3 0.454 0.266 0.168 1
Pd4 0.454 0.786 0.688 1
Pd5 0.517 0.451 0.566 1
Pd6 0.536 0.033 0.176 1
Pd7 0.536 0.860 0.003 1
Pd8 0.857 0.360 0.824 1
Pd9 0.857 0.533 0.997 1
Pd10 0.884 0.951 0.434 1
```

=====

Repeat the third record exactly.
Structure and calculated PXRD pattern of HgTe3Pd2 (the GGA-PBE geometry in Alexandria; λ = 1.5418 Å (Cu Kα)).

Largest 6 diffraction maxima, in order of rising 2θ, 10° ≤ 2θ ≤ 90°:
| 2θ/deg | d/Å | Rel. int. |
| --- | --- | --- |
| 14.9 | 5.929 | 463 |
| 26.9 | 3.319 | 746 |
| 28.0 | 3.188 | 577 |
| 35.3 | 2.546 | 1000 |
| 44.5 | 2.034 | 422 |
| 44.8 | 2.025 | 566 |

```
data_HgTe3Pd2
_cell_length_a 8.112
_cell_length_b 8.112
_cell_length_c 6.510
_cell_angle_alpha 110.88
_cell_angle_beta 110.88
_cell_angle_gamma 60.67
_symmetry_space_group_name_H-M 'P 1'
_symmetry_Int_Tables_number 1
loop_
_symmetry_equiv_pos_as_xyz
'x,y,z'
loop_
_atom_site_label
_atom_site_fract_x
_atom_site_fract_y
_atom_site_fract_z
_atom_site_occupancy
Hg1 0.224 0.224 0.286 1
Hg2 0.776 0.776 0.714 1
Te1 0.205 0.714 0.221 1
Te2 0.286 0.795 0.779 1
Te3 0.289 0.289 0.779 1
Te4 0.711 0.711 0.221 1
Te5 0.714 0.205 0.221 1
Te6 0.795 0.286 0.779 1
Pd1 0.000 0.000 0.000 1
Pd2 0.000 0.500 0.000 1
Pd3 0.500 0.000 0.000 1
Pd4 0.500 0.500 0.000 1
```